(1)
Theoretical powder XRD pattern
Compound: Ho3Er2Sc7
Radiation: Cu Kα (λ = 1.5418 Å)
Structure: a crystal structure in Alexandria, relaxed with PBE
Neutral-atom scattering factors, no anomalous dispersion.

The 6 most intense peaks (2θ = 10–80°), low angle first:
d/Å, I_rel
5.878, 72
2.719, 100
2.705, 38
2.694, 57
2.532, 38
2.445, 40

Cell and atoms:
abc: 5.440 3.404 17.655
angles: 90.00 92.89 90.00
Fractional coordinates of all 12 atoms:
Ho (0.000, 0.000, 0.000)
Ho (0.276, 0.500, 0.631)
Ho (0.724, 0.500, 0.369)
Er (0.210, 0.000, 0.291)
Er (0.790, 0.000, 0.709)
Sc (0.196, 0.500, 0.141)
Sc (0.243, 0.000, 0.463)
Sc (0.303, 0.000, 0.827)
Sc (0.500, 0.500, 0.000)
Sc (0.697, 0.000, 0.173)
Sc (0.757, 0.000, 0.537)
Sc (0.804, 0.500, 0.859)

=====

(2)
Theoretical powder XRD pattern
Compound: Hg3P5
Radiation: Cu Kα (λ = 1.5418 Å)
Structure: a crystal structure in Alexandria, relaxed with PBE
Neutral-atom scattering factors, no anomalous dispersion.

The 6 most intense peaks (2θ = 10–80°), low angle first:
d/Å, I_rel
6.537, 43
4.552, 69
3.500, 100
3.476, 48
3.200, 71
2.529, 53

Cell and atoms:
abc: 7.298 7.298 9.491
angles: 99.00 99.00 112.73
Fractional coordinates of all 16 atoms:
Hg (0.000, 0.000, 0.000)
Hg (0.193, 0.840, 0.433)
Hg (0.246, 0.566, 0.961)
Hg (0.311, 0.311, 0.332)
Hg (0.566, 0.246, 0.961)
Hg (0.840, 0.193, 0.433)
P (0.046, 0.439, 0.299)
P (0.063, 0.878, 0.661)
P (0.318, 0.940, 0.055)
P (0.392, 0.392, 0.790)
P (0.439, 0.046, 0.299)
P (0.588, 0.774, 0.606)
P (0.668, 0.668, 0.804)
P (0.774, 0.588, 0.606)
P (0.878, 0.063, 0.661)
P (0.940, 0.318, 0.055)

=====

(3)
Theoretical powder XRD pattern
Compound: CaMgBe
Radiation: Cu Kα (λ = 1.5418 Å)
Structure: a crystal structure in Alexandria, relaxed with PBE
Neutral-atom scattering factors, no anomalous dispersion.

The 6 most intense peaks (2θ = 10–80°), low angle first:
d/Å, I_rel
3.136, 44
3.061, 100
2.752, 96
2.668, 55
2.061, 26
1.632, 32

Cell and atoms:
abc: 5.460 4.123 6.417
angles: 90.00 102.21 90.00
Fractional coordinates of all 6 atoms:
Ca (0.054, 0.250, 0.267)
Ca (0.946, 0.750, 0.733)
Mg (0.458, 0.250, 0.822)
Mg (0.542, 0.750, 0.178)
Be (0.433, 0.750, 0.533)
Be (0.567, 0.250, 0.467)

=====

(4)
Theoretical powder XRD pattern
Compound: Ag4HgBr7
Radiation: Cu Kα (λ = 1.5418 Å)
Structure: a crystal structure in Alexandria, relaxed with PBE
Neutral-atom scattering factors, no anomalous dispersion.

The 6 most intense peaks (2θ = 10–80°), low angle first:
d/Å, I_rel
4.683, 100
4.492, 60
3.747, 80
3.255, 58
3.232, 61
2.188, 73

Cell and atoms:
abc: 10.752 10.752 8.178
angles: 90.00 90.00 60.59
Fractional coordinates of all 24 atoms:
Ag (0.031, 0.730, 0.750)
Ag (0.270, 0.969, 0.750)
Ag (0.311, 0.311, 0.000)
Ag (0.311, 0.311, 0.500)
Ag (0.689, 0.689, 0.000)
Ag (0.689, 0.689, 0.500)
Ag (0.730, 0.031, 0.250)
Ag (0.969, 0.270, 0.250)
Hg (0.245, 0.755, 0.250)
Hg (0.755, 0.245, 0.750)
Br (0.007, 0.993, 0.750)
Br (0.191, 0.596, 0.013)
Br (0.191, 0.596, 0.487)
Br (0.199, 0.243, 0.750)
Br (0.243, 0.199, 0.250)
Br (0.404, 0.809, 0.013)
Br (0.404, 0.809, 0.487)
Br (0.596, 0.191, 0.513)
Br (0.596, 0.191, 0.987)
Br (0.757, 0.801, 0.750)
Br (0.801, 0.757, 0.250)
Br (0.809, 0.404, 0.513)
Br (0.809, 0.404, 0.987)
Br (0.993, 0.007, 0.250)

=====

(5)
Theoretical powder XRD pattern
Compound: CaCr2CoS
Radiation: Cu Kα (λ = 1.5418 Å)
Structure: a crystal structure in Alexandria, relaxed with PBE
Neutral-atom scattering factors, no anomalous dispersion.

The 6 most intense peaks (2θ = 10–80°), low angle first:
d/Å, I_rel
3.650, 31
3.037, 100
2.739, 87
2.447, 31
1.936, 29
1.825, 47

Cell and atoms:
abc: 5.477 5.477 4.894
angles: 90.00 90.00 90.00
Fractional coordinates of all 5 atoms:
Ca (0.000, 0.000, 0.000)
Cr (0.000, 0.500, 0.000)
Cr (0.500, 0.000, 0.000)
Co (0.500, 0.500, 0.500)
S (0.000, 0.000, 0.500)

=====

(6)
Theoretical powder XRD pattern
Compound: Pd6Pt3Au
Radiation: Cu Kα (λ = 1.5418 Å)
Structure: a crystal structure in Alexandria, relaxed with PBE
Neutral-atom scattering factors, no anomalous dispersion.

The 6 most intense peaks (2θ = 10–80°), low angle first:
d/Å, I_rel
3.776, 27
3.658, 44
2.207, 100
2.192, 59
2.176, 32
2.134, 38

Cell and atoms:
abc: 5.068 5.068 6.951
angles: 98.07 98.07 92.39
Fractional coordinates of all 10 atoms:
Pd (0.121, 0.121, 0.383)
Pd (0.189, 0.564, 0.164)
Pd (0.436, 0.811, 0.836)
Pd (0.564, 0.189, 0.164)
Pd (0.811, 0.436, 0.836)
Pd (0.879, 0.879, 0.617)
Pt (0.285, 0.285, 0.769)
Pt (0.500, 0.500, 0.500)
Pt (0.715, 0.715, 0.231)
Au (0.000, 0.000, 0.000)